For ZnPd15Pb4, a DFT-relaxed cell (GGA-PBE, Alexandria) gives the computed powder XRD pattern in this record (copper Kα).

Principal peaks in the range 2θ = 10–90°, in order of rising 2θ:
21.78 deg, I 4
31.10 deg, I 3
38.29 deg, I 100
44.41 deg, I 34
44.71 deg, I 15
64.61 deg, I 11
64.84 deg, I 19
77.67 deg, I 25
78.09 deg, I 10
81.98 deg, I 10

Structural model:
```
data_ZnPd15Pb4
_cell_length_a 4.0799
_cell_length_b 4.0799
_cell_length_c 20.2703
_cell_angle_alpha 90.00
_cell_angle_beta 90.00
_cell_angle_gamma 90.00
_space_group_name_H-M_alt 'P 4/m m m'
_space_group_IT_number 123
_space_group_name_Hall '-P 4 2'
loop_
_atom_site_label
_atom_site_type_symbol
_atom_site_fract_x
_atom_site_fract_y
_atom_site_fract_z
_atom_site_occupancy
Zn1 Zn 0.0000 0.0000 0.0000 1
Pd1 Pd 0.0000 0.5000 0.0910 1
Pd2 Pd 0.0000 0.5000 0.2956 1
Pd3 Pd 0.0000 0.5000 0.5000 1
Pd4 Pd 0.5000 0.5000 0.0000 1
Pd5 Pd 0.5000 0.5000 0.1946 1
Pd6 Pd 0.5000 0.5000 0.3981 1
Pb1 Pb 0.0000 0.0000 0.1920 1
Pb2 Pb 0.0000 0.0000 0.3974 1
```